For Li2Co3SbO8, the PBE+U geometry in Alexandria gives the simulated X-ray powder pattern in this record (Cu Ka).
Kinematic intensities with the Lorentz-polarization factor, no thermal factor.

Largest 10 diffraction maxima, low angle first, 10° ≤ 2θ ≤ 90°:
| 2θ/deg | Rel. int. | hkl |
| --- | --- | --- |
| 20.14 | 100.0 | 1 0 1 |
| 26.03 | 30.6 | 1 0 2 |
| 33.76 | 39.6 | 1 0 3 |
| 36.57 | 53.5 | 1 1 2 |
| 37.28 | 35.2 | 2 0 1 |
| 40.94 | 14.9 | 2 0 2 |
| 46.51 | 30.4 | 2 0 3 |
| 56.97 | 19.7 | 2 1 3 |
| 61.76 | 29.2 | 2 0 5 |
| 64.70 | 24.9 | 2 2 0 |

Structure:
Cell lengths 5.7630, 5.7630, 9.4056 Å; angles 90.00, 90.00, 120.00 degrees
Positions (direct):
Li  0.0000  0.0000  0.0000
Li  0.0000  0.0000  0.5000
Li  0.3333  0.6667  0.4071
Li  0.6667  0.3333  0.9071
Co  0.1701  0.3403  0.7207
Co  0.1701  0.8299  0.7207
Co  0.3403  0.1701  0.2207
Co  0.6597  0.8299  0.7207
Co  0.8299  0.1701  0.2207
Co  0.8299  0.6597  0.2207
Sb  0.3333  0.6667  0.9955
Sb  0.6667  0.3333  0.4955
O  0.0000  0.0000  0.3123
O  0.0000  0.0000  0.8123
O  0.0339  0.5170  0.8418
O  0.1611  0.3222  0.1044
O  0.1611  0.8389  0.1044
O  0.3222  0.1611  0.6044
O  0.3333  0.6667  0.6185
O  0.4830  0.5170  0.8418
O  0.4830  0.9661  0.8418
O  0.5170  0.0339  0.3418
O  0.5170  0.4830  0.3418
O  0.6667  0.3333  0.1185
O  0.6778  0.8389  0.1044
O  0.8389  0.1611  0.6044
O  0.8389  0.6778  0.6044
O  0.9661  0.4830  0.3418